For TlSbWO6, a DFT-relaxed cell (GGA+U, Alexandria) gives the calculated powder diffraction line list in this record (Cu Kα).
No peak broadening, texture or thermal motion is included.

Largest 6 diffraction maxima, in order of rising 2θ, 2θ = 10–90°:
(1 2 1), 2θ = 24.1°, I = 50
(1 1 2), 2θ = 28.2°, I = 100
(0 3 1), 2θ = 28.4°, I = 78
(2 1 1), 2θ = 28.5°, I = 56
(2 2 0), 2θ = 29.8°, I = 57
(2 4 2), 2θ = 49.4°, I = 46

Structural model:
```
data_TlSbWO6
_chemical_formula_sum 'Tl4 Sb4 W4 O24'
_symmetry_space_group_name_H-M 'I m a 2'
_symmetry_Int_Tables_number 46
_symmetry_space_group_name_Hall 'I 2 -2a'
_cell_length_a 7.3225
_cell_length_b 10.4283
_cell_length_c 7.4507
_cell_angle_alpha 90.00
_cell_angle_beta 90.00
_cell_angle_gamma 90.00
loop_
_atom_site_label
_atom_site_type_symbol
_atom_site_fract_x
_atom_site_fract_y
_atom_site_fract_z
Tl1 Tl 0.2500 0.1470 0.0000
Sb1 Sb 0.0000 0.0000 0.4187
W1 W 0.2500 0.7447 0.1809
O1 O 0.0613 0.6268 0.1100
O2 O 0.0620 0.6269 0.7253
O3 O 0.2500 0.0759 0.4106
O4 O 0.2500 0.6917 0.4219
```